Record 1
Structure and computed X-ray diffraction stick pattern of Sb4O9 (a PBE-relaxed structure; Cu Kα (weighted mean of Kα1 and Kα2)).
Lines closer than 0.1° are merged.

Cell and atoms:
a b c (Å): 9.545 3.874 10.337
angles (deg): 90.00 100.98 90.00
Space group P2/m (No. 10)
One atom of each set of equivalent atoms:
Sb: 0.010 0.000 0.168 [2 per cell]
Sb: 0.164 0.000 0.574 [2 per cell]
Sb: 0.333 0.000 0.953 [2 per cell]
Sb: 0.436 0.000 0.331 [2 per cell]
O: 0.044 0.000 0.390 [2 per cell]
O: 0.049 0.500 0.184 [2 per cell]
O: 0.140 0.000 0.008 [2 per cell]
O: 0.185 0.500 0.578 [2 per cell]
O: 0.195 0.000 0.775 [2 per cell]
O: 0.331 0.500 0.954 [2 per cell]
O: 0.373 0.000 0.546 [2 per cell]
O: 0.386 0.500 0.314 [2 per cell]
O: 0.486 0.000 0.128 [2 per cell]

The 8 most intense peaks (10 to 90 degrees two-theta), by angle:
Position (°2θ)  I (rel.)  h k l
22.96  100  0 1 0
26.25  68  1 0 -3
28.27  95  2 0 2
35.15  34  1 1 -3
36.72  51  3 1 -1
47.59  28  1 0 5
53.47  25  1 1 5
55.68  27  2 2 2

Record 2
Structure and computed X-ray diffraction stick pattern of Li7Pd5 (a PBE-relaxed structure; Cu Kα (weighted mean of Kα1 and Kα2)).
Lines closer than 0.1° are merged.

Cell and atoms:
a b c (Å): 14.199 2.751 10.126
angles (deg): 90.00 119.52 90.00
Space group C2/m (No. 12)
One atom of each set of equivalent atoms:
Li: 0.000 0.000 0.000 [2 per cell]
Li: 0.023 0.500 0.253 [4 per cell]
Li: 0.154 0.000 0.758 [4 per cell]
Li: 0.170 0.000 0.510 [4 per cell]
Pd: 0.000 0.500 0.500 [2 per cell]
Pd: 0.161 0.500 0.996 [4 per cell]
Pd: 0.183 0.000 0.253 [4 per cell]

The 8 most intense peaks (10 to 90 degrees two-theta), by angle:
Position (°2θ)  I (rel.)  h k l
10.04  44  0 0 1
21.25  97  2 0 1
25.42  100  4 0 -1
26.41  67  2 0 -3
39.09  37  3 1 -2
40.97  49  0 0 4
42.91  80  6 0 -4
43.51  42  3 1 1

Record 3
Structure and computed X-ray diffraction stick pattern of Ba3Nb2O8 (a PBE-relaxed structure; Cu Kα (weighted mean of Kα1 and Kα2)).
Lines closer than 0.1° are merged.

Cell and atoms:
a b c (Å): 6.1713 6.1713 21.5658
angles (deg): 90.00 90.00 120.00
Space group R-3m (No. 166, hexagonal axes)
One atom of each set of equivalent atoms:
Ba: 0.0000 0.0000 0.0000 [3 per cell]
Ba: 0.0000 0.0000 0.1992 [6 per cell]
Nb: 0.0000 0.0000 0.4060 [6 per cell]
O: 0.0000 0.0000 0.3196 [6 per cell]
O: 0.0005 0.5002 0.2321 [18 per cell]

The 8 most intense peaks (10 to 90 degrees two-theta), by angle:
Position (°2θ)  I (rel.)  h k l
26.56  100  0 1 5
28.94  96  1 1 0
39.68  44  2 0 5
45.35  28  1 0 10
49.85  36  1 2 5
51.28  19  3 0 0
59.96  17  2 2 0
63.05  21  2 1 10

Record 4
Structure and computed X-ray diffraction stick pattern of CeGe3Ru3 (a PBE-relaxed structure; Cu Kα (weighted mean of Kα1 and Kα2)).
Lines closer than 0.1° are merged.

Cell and atoms:
a b c (Å): 6.7552 6.7552 20.6658
angles (deg): 90.00 90.00 120.00
Space group R-3 (No. 148, hexagonal axes)
One atom of each set of equivalent atoms:
Ce: 0.0000 0.0000 0.1755 [6 per cell]
Ge: 0.0388 0.4296 0.2583 [18 per cell]
Ru: 0.0200 0.2536 0.7121 [18 per cell]

The 8 most intense peaks (10 to 90 degrees two-theta), by angle:
Position (°2θ)  I (rel.)  h k l
17.42  57  0 1 2
29.45  89  1 1 3
37.29  77  2 -1 6
39.23  35  0 0 9
41.05  100  2 1 1
46.58  49  3 0 0
54.64  35  3 -2 8
74.32  36  1 4 0

Record 5
Structure and computed X-ray diffraction stick pattern of SnSbH (a PBE-relaxed structure; Cu Kα (weighted mean of Kα1 and Kα2)).
Lines closer than 0.1° are merged.

Cell and atoms:
a b c (Å): 4.332 7.132 8.677
angles (deg): 90.00 90.00 90.00
Space group Amm2 (No. 38)
One atom of each set of equivalent atoms:
Sn: 0.000 0.225 0.000 [4 per cell]
Sb: 0.500 0.223 0.250 [4 per cell]
H: 0.000 0.000 0.517 [2 per cell]
H: 0.500 0.000 0.743 [2 per cell]

The 8 most intense peaks (10 to 90 degrees two-theta), by angle:
Position (°2θ)  I (rel.)  h k l
24.97  64  0 2 0
29.13  100  1 0 2
38.74  82  1 2 2
41.67  38  2 0 0
49.19  41  2 2 0
66.39  20  2 2 4
68.44  18  3 0 2
74.10  27  3 2 2

Record 6
Structure and computed X-ray diffraction stick pattern of CuW3 (a PBE-relaxed structure; Cu Kα (weighted mean of Kα1 and Kα2)).
Lines closer than 0.1° are merged.

Cell and atoms:
a b c (Å): 3.213 4.357 8.745
angles (deg): 90.00 90.00 90.00
Space group Cmmm (No. 65)
One atom of each set of equivalent atoms:
Cu: 0.000 0.000 0.000 [2 per cell]
W: 0.000 0.000 0.500 [2 per cell]
W: 0.000 0.500 0.242 [4 per cell]

The 8 most intense peaks (10 to 90 degrees two-theta), by angle:
Position (°2θ)  I (rel.)  h k l
10.11  15  0 0 1
40.53  100  1 1 2
41.29  23  0 0 4
41.45  24  0 2 0
59.94  16  0 2 4
74.77  16  1 1 6
74.98  16  1 3 2
87.69  11  2 2 4

Repeat the fourth record exactly.
Structure and computed X-ray diffraction stick pattern of CeGe3Ru3 (a PBE-relaxed structure; Cu Kα (weighted mean of Kα1 and Kα2)).
Lines closer than 0.1° are merged.

Cell and atoms:
a b c (Å): 6.7552 6.7552 20.6658
angles (deg): 90.00 90.00 120.00
Space group R-3 (No. 148, hexagonal axes)
One atom of each set of equivalent atoms:
Ce: 0.0000 0.0000 0.1755 [6 per cell]
Ge: 0.0388 0.4296 0.2583 [18 per cell]
Ru: 0.0200 0.2536 0.7121 [18 per cell]

The 8 most intense peaks (10 to 90 degrees two-theta), by angle:
Position (°2θ)  I (rel.)  h k l
17.42  57  0 1 2
29.45  89  1 1 3
37.29  77  2 -1 6
39.23  35  0 0 9
41.05  100  2 1 1
46.58  49  3 0 0
54.64  35  3 -2 8
74.32  36  1 4 0